Record 1
Computed powder diffractogram of Li4WO5 for Cu Kα (λ = 1.5418 Å), from a DFT-relaxed cell (GGA+U, the Materials Project).

Structural model:
```
Li4WO5
1.0
5.155 0.000 0.000
-1.029 5.088 0.000
-1.591 -2.848 7.143
Li W O
8 2 10
Cartesian
0.000 0.000 0.000 Li
-0.957 -0.983 4.946 Li
0.002 0.845 2.795 Li
0.650 2.747 0.721 Li
1.782 -1.424 3.571 Li
1.885 -0.506 6.422 Li
2.533 1.396 4.348 Li
3.492 3.224 2.197 Li
-0.040 1.759 5.599 W
2.576 0.482 1.543 W
-1.598 0.694 6.036 O
-0.893 2.509 4.085 O
1.030 -0.663 1.785 O
0.198 -1.846 6.846 O
0.805 0.315 4.751 O
1.730 1.926 2.391 O
2.337 4.087 0.297 O
1.505 2.904 5.357 O
3.429 -0.268 3.057 O
4.133 1.547 1.107 O
```

Main lines, by angle (10° ≤ 2θ ≤ 90°):
Position (°2θ)	d/Å	I/Imax
18.29	4.851	100.0
18.98	4.675	34.1
22.27	3.992	24.5
24.69	3.606	18.4
24.94	3.570	30.6
26.18	3.404	21.7
27.23	3.275	13.4
42.33	2.135	16.1
42.67	2.119	25.3
43.71	2.071	15.2

***

Record 2
Computed powder diffractogram of Li6W2O9 for Cu Kα (λ = 1.5418 Å), from a DFT-relaxed cell (GGA+U, the Materials Project).

Structural model:
```
Li6W2O9
1.0
4.960 -4.456 0.000
4.960 4.456 0.000
-3.486 0.000 7.562
Li W O
12 4 18
Cartesian
1.748 1.585 3.110 Li
0.134 1.611 6.928 Li
1.327 0.018 0.615 Li
-0.416 -0.018 4.396 Li
4.557 1.611 4.416 Li
0.004 -1.585 6.891 Li
6.430 1.585 0.671 Li
1.877 -1.611 3.147 Li
6.851 0.018 3.166 Li
5.107 -0.018 6.948 Li
6.301 -1.611 0.635 Li
4.687 -1.585 4.453 Li
4.089 3.236 1.891 W
2.346 0.090 5.672 W
4.089 -0.090 1.891 W
2.346 -3.236 5.672 W
-1.267 0.117 6.295 O
4.873 2.944 0.186 O
3.304 2.944 3.595 O
0.476 -0.117 2.514 O
2.899 1.459 1.356 O
1.061 1.270 5.059 O
5.278 1.459 2.425 O
2.804 -1.270 1.278 O
4.960 0.000 0.000 O
3.217 0.000 3.781 O
3.630 1.270 6.285 O
1.156 -1.459 5.137 O
5.374 -1.270 2.503 O
3.535 -1.459 6.207 O
5.958 0.117 5.048 O
3.130 -2.944 3.968 O
1.561 -2.944 7.376 O
7.702 -0.117 1.267 O
```

Main lines, by angle (10° ≤ 2θ ≤ 90°):
Position (°2θ)	d/Å	I/Imax
15.37	5.764	38.0
19.71	4.505	75.2
23.17	3.839	36.4
23.54	3.779	100.0
27.13	3.287	22.7
31.71	2.821	35.6
42.42	2.131	30.6
42.82	2.112	39.3
43.47	2.082	21.4
62.66	1.483	22.9

***

Record 3
Computed powder diffractogram of Li7W5O16 for Cu Kα (λ = 1.5418 Å), from a DFT-relaxed cell (GGA+U, the Materials Project).

Structural model:
```
Li7W5O16
1.0
5.223 -2.922 0.000
5.223 2.922 0.000
-0.064 0.000 9.918
Li W O
7 5 16
Cartesian
0.000 0.000 0.000 Li
0.045 0.000 5.020 Li
4.414 1.426 7.209 Li
3.468 0.000 4.214 Li
4.414 -1.426 7.209 Li
7.015 0.000 9.065 Li
8.847 0.000 2.316 Li
1.893 0.000 7.369 W
3.656 0.000 9.837 W
6.231 1.297 2.252 W
7.065 0.000 5.117 W
6.231 -1.297 2.252 W
0.147 0.000 3.155 O
0.149 0.000 8.045 O
2.672 1.315 8.613 O
1.874 0.000 1.126 O
4.574 1.278 1.144 O
3.344 0.000 6.214 O
6.276 1.431 6.038 O
2.672 -1.315 8.613 O
5.056 0.000 8.712 O
7.643 1.290 3.583 O
5.417 0.000 3.711 O
4.574 -1.278 1.144 O
7.186 0.000 1.063 O
8.710 0.000 5.828 O
6.276 -1.431 6.038 O
7.643 -1.290 3.583 O
```

Main lines, by angle (10° ≤ 2θ ≤ 90°):
Position (°2θ)	d/Å	I/Imax
16.98	5.223	52.0
19.15	4.634	69.1
19.56	4.539	100.0
24.84	3.585	30.8
25.04	3.557	29.0
31.93	2.803	34.1
32.32	2.770	28.7
35.15	2.553	38.3
35.64	2.519	29.5
36.38	2.470	35.6

***

Record 4
Computed powder diffractogram of LiW2O6 for Cu Kα (λ = 1.5418 Å), from a DFT-relaxed cell (GGA+U, the Materials Project).

Structural model:
```
LiW2O6
1.0
-3.774 3.795 3.807
3.774 -3.795 3.807
3.774 3.795 -3.807
Li W O
2 4 12
Cartesian
0.000 0.000 0.000 Li
0.000 3.795 0.000 Li
1.887 1.897 -1.904 W
1.887 -1.897 1.904 W
-1.887 1.897 1.904 W
1.887 1.897 1.904 W
3.774 2.200 -1.597 O
1.550 1.527 0.000 O
5.999 1.527 0.000 O
2.256 0.000 2.233 O
5.292 0.000 2.233 O
0.000 1.594 2.210 O
3.774 2.200 1.597 O
-1.518 3.795 1.574 O
1.518 3.795 1.574 O
-2.225 2.268 3.807 O
2.225 2.268 3.807 O
0.000 1.594 5.404 O
```

Main lines, by angle (10° ≤ 2θ ≤ 90°):
Position (°2θ)	d/Å	I/Imax
23.40	3.801	100.0
23.57	3.774	48.7
33.38	2.684	62.3
33.49	2.676	30.7
41.24	2.189	26.2
53.91	1.701	20.7
54.27	1.690	20.5
59.71	1.549	14.3
59.89	1.544	14.6
75.23	1.263	15.1

***

Record 5
Computed powder diffractogram of Li2WO12 for Cu Kα (λ = 1.5418 Å), from a DFT-relaxed cell (GGA+U, the Materials Project).

Structural model:
```
Li2WO12
1.0
6.692 0.000 0.000
0.000 10.993 0.000
-4.165 0.000 14.143
Li W O
8 4 48
Cartesian
-0.432 1.007 4.659 Li
-2.515 4.490 11.731 Li
1.014 1.422 1.031 Li
-1.068 4.075 8.103 Li
3.595 6.918 6.040 Li
1.513 9.571 13.112 Li
5.042 6.503 2.413 Li
2.959 9.986 9.484 Li
2.231 6.545 3.286 W
0.148 9.944 10.358 W
2.379 1.049 3.785 W
0.296 4.448 10.857 W
-1.527 5.800 6.926 O
-3.609 10.689 13.997 O
-1.295 2.567 6.568 O
-3.378 2.929 13.639 O
-2.888 7.575 12.462 O
-0.806 8.914 5.391 O
-2.921 2.279 12.671 O
-0.839 3.217 5.599 O
0.303 6.454 2.790 O
-1.780 10.036 9.862 O
-2.621 6.494 12.984 O
-0.538 9.995 5.913 O
0.489 1.029 2.891 O
-1.594 4.468 9.962 O
-1.096 0.384 9.855 O
0.987 5.113 2.783 O
-1.028 5.813 10.312 O
1.054 10.676 3.240 O
1.595 1.635 5.266 O
-0.487 3.861 12.337 O
1.859 8.144 4.466 O
-0.224 8.345 11.538 O
1.736 6.971 5.317 O
-0.346 9.518 12.388 O
2.873 1.475 1.755 O
0.790 4.022 8.827 O
2.751 2.648 2.605 O
0.668 2.849 9.677 O
3.014 7.132 1.806 O
0.932 9.358 8.878 O
1.473 0.317 10.903 O
3.555 5.180 3.832 O
1.540 5.880 11.360 O
3.623 10.609 4.288 O
4.121 6.525 4.181 O
2.038 9.964 11.253 O
3.065 0.998 8.230 O
5.148 4.499 1.159 O
4.306 0.957 4.281 O
2.224 4.539 11.353 O
3.366 7.776 8.544 O
5.448 8.713 1.473 O
3.333 2.079 8.752 O
5.415 3.418 1.681 O
5.905 8.064 0.504 O
3.822 8.426 7.576 O
6.136 0.303 0.146 O
4.054 5.193 7.217 O
```

Main lines, by angle (10° ≤ 2θ ≤ 90°):
Position (°2θ)	d/Å	I/Imax
12.52	7.072	100.0
13.79	6.419	47.3
15.81	5.606	66.3
17.31	5.123	95.6
20.48	4.337	25.8
21.05	4.220	70.9
21.16	4.199	40.2
23.30	3.818	30.5
24.88	3.578	30.2
25.09	3.550	24.7

***

Record 6
Computed powder diffractogram of Li2W2O7 for Cu Kα (λ = 1.5418 Å), from a DFT-relaxed cell (GGA+U, the Materials Project).

Structural model:
```
Li2W2O7
1.0
5.262 0.000 0.000
0.599 6.907 0.000
2.058 2.788 7.987
Li W O
4 4 14
Cartesian
1.366 2.576 2.871 Li
3.802 5.945 5.998 Li
4.117 3.750 1.988 Li
6.553 7.119 5.116 Li
3.334 8.971 6.673 W
2.625 6.094 2.498 W
5.293 3.601 5.488 W
4.585 0.724 1.314 W
1.665 2.451 5.083 O
2.687 7.311 6.832 O
1.596 6.498 0.611 O
2.130 4.368 2.471 O
3.113 6.314 4.210 O
3.645 3.963 6.363 O
2.920 1.203 2.006 O
4.998 8.492 5.981 O
4.273 5.732 1.624 O
4.805 3.381 3.777 O
5.789 5.326 5.515 O
6.322 3.197 7.375 O
5.232 2.384 1.154 O
6.254 7.244 2.903 O
```

Main lines, by angle (10° ≤ 2θ ≤ 90°):
Position (°2θ)	d/Å	I/Imax
13.58	6.522	79.1
14.43	6.139	94.0
21.98	4.043	100.0
22.23	3.999	59.3
25.11	3.547	83.3
29.78	3.000	34.4
32.85	2.727	33.6
35.10	2.556	20.1
40.55	2.225	25.5
44.94	2.017	28.5